TbCeHg4: computed XRD peak list (Cu Kα (λ = 1.5418 Å)), based on a GGA-PBE-relaxed structure.
Lines closer than 0.1° are merged.

Principal peaks in the range 2θ from 10° to 80°, sorted by position:
| 2θ (°) | I_rel | hkl |
| --- | --- | --- |
| 25.8 | 16 | 1 0 0 |
| 33.1 | 100 | 1 0 -2 |
| 35.6 | 34 | 0 2 0 |
| 35.8 | 67 | 0 1 3 |
| 44.6 | 16 | 1 1 3 |
| 49.4 | 22 | 1 2 -2 |
| 53.0 | 11 | 2 0 0 |
| 64.1 | 13 | 0 3 3 |
| 65.4 | 12 | 2 2 0 |
| 65.6 | 23 | 2 1 3 |

Structure:
Lattice parameters (Å, degrees): 3.458 5.044 8.679 90.00 90.02 90.00
Fractional coordinates of all 6 atoms:
Tb  0.000  0.000  0.000
Ce  0.000  0.500  0.500
Hg  0.498  0.500  0.164
Hg  0.499  0.000  0.670
Hg  0.501  0.000  0.330
Hg  0.502  0.500  0.836